1.
Starting from DFT lattice parameters and positions (PBE), the powder X-ray diffraction pattern of LiCeGa2Pt2 was calculated for Cu Kα (weighted mean of Kα1 and Kα2).
Neutral-atom scattering factors, no anomalous dispersion.

Most intense lines, 5 to 70 degrees two-theta, by intensity:
27.04 deg, d 3.297, intensity 1000; 41.13 deg, d 2.194, intensity 751; 36.00 deg, d 2.495, intensity 657; 49.90 deg, d 1.828, intensity 344; 59.43 deg, d 1.555, intensity 225; 55.79 deg, d 1.648, intensity 187; 47.70 deg, d 1.907, intensity 163; 66.62 deg, d 1.404, intensity 138

Structure:
a = 4.3890 Å, b = 4.3890 Å, c = 6.6125 Å
α = 90.00°, β = 90.00°, γ = 120.00°
Atoms (fractional coordinates):
Li 0.0000 0.0000 0.0000
Ce 0.0000 0.0000 0.5000
Ga 0.3333 0.6667 0.8231
Ga 0.6667 0.3333 0.1769
Pt 0.3333 0.6667 0.2252
Pt 0.6667 0.3333 0.7748


2.
Starting from DFT lattice parameters and positions (PBE), the powder X-ray diffraction pattern of RbAu3Se3 was calculated for Cu Kα (weighted mean of Kα1 and Kα2).
Neutral-atom scattering factors, no anomalous dispersion.

Most intense lines, 5 to 70 degrees two-theta, by intensity:
27.96 deg, d 3.191, intensity 1000; 28.42 deg, d 3.141, intensity 947; 16.03 deg, d 5.528, intensity 807; 46.77 deg, d 1.942, intensity 675; 26.82 deg, d 3.325, intensity 532; 52.61 deg, d 1.740, intensity 400; 52.50 deg, d 1.743, intensity 352; 32.80 deg, d 2.731, intensity 348

Structure:
a = 11.0552 Å, b = 11.0552 Å, c = 4.1614 Å
α = 90.00°, β = 90.00°, γ = 120.00°
Atoms (fractional coordinates):
Rb 0.3333 0.6667 0.2500
Rb 0.6667 0.3333 0.7500
Au 0.0530 0.3269 0.7500
Au 0.2740 0.9470 0.7500
Au 0.3269 0.2740 0.2500
Au 0.6731 0.7260 0.7500
Au 0.7260 0.0530 0.2500
Au 0.9470 0.6731 0.2500
Se 0.0882 0.6978 0.7500
Se 0.3022 0.3904 0.7500
Se 0.3904 0.0882 0.2500
Se 0.6096 0.9118 0.7500
Se 0.6978 0.6096 0.2500
Se 0.9118 0.3022 0.2500


3.
Starting from DFT lattice parameters and positions (PBE), the powder X-ray diffraction pattern of ThGe3Rh was calculated for Cu Kα (weighted mean of Kα1 and Kα2).
Neutral-atom scattering factors, no anomalous dispersion.

Most intense lines, 5 to 70 degrees two-theta, by intensity:
36.62 deg, d 2.454, intensity 1000; 35.07 deg, d 2.559, intensity 718; 45.65 deg, d 1.987, intensity 455; 20.94 deg, d 4.242, intensity 416; 37.49 deg, d 2.399, intensity 373; 26.21 deg, d 3.400, intensity 330; 30.48 deg, d 2.932, intensity 311; 34.77 deg, d 2.580, intensity 270

Structure:
a = 6.1418 Å, b = 5.6868 Å, c = 5.8649 Å
α = 90.00°, β = 90.00°, γ = 90.00°
Atoms (fractional coordinates):
Th 0.0000 0.1422 0.0000
Th 0.5000 0.8578 0.5000
Ge 0.0000 0.9130 0.5440
Ge 0.2325 0.3184 0.4525
Ge 0.2675 0.6816 0.9525
Ge 0.5000 0.0870 0.0440
Ge 0.7325 0.6816 0.9525
Ge 0.7675 0.3184 0.4525
Rh 0.0000 0.6122 0.2520
Rh 0.5000 0.3878 0.7520


4.
Starting from DFT lattice parameters and positions (PBE), the powder X-ray diffraction pattern of TlTe2Ru was calculated for Cu Kα (weighted mean of Kα1 and Kα2).
Neutral-atom scattering factors, no anomalous dispersion.

Most intense lines, 5 to 70 degrees two-theta, by intensity:
35.64 deg, d 2.519, intensity 1000; 28.05 deg, d 3.181, intensity 480; 32.35 deg, d 2.767, intensity 454; 44.94 deg, d 2.017, intensity 274; 59.85 deg, d 1.545, intensity 223; 15.19 deg, d 5.832, intensity 177; 28.63 deg, d 3.118, intensity 160; 57.98 deg, d 1.591, intensity 147

Structure:
a = 6.6548 Å, b = 6.6548 Å, c = 6.6548 Å
α = 151.86°, β = 130.86°, γ = 57.59°
Atoms (fractional coordinates):
Tl 0.0000 0.0000 0.0000
Te 0.3180 0.8180 0.5000
Te 0.6820 0.1820 0.5000
Ru 0.5000 0.5000 0.0000


5.
Starting from DFT lattice parameters and positions (PBE), the powder X-ray diffraction pattern of Dy4YHo2Tm2 was calculated for Cu Kα (weighted mean of Kα1 and Kα2).
Neutral-atom scattering factors, no anomalous dispersion.

Most intense lines, 5 to 70 degrees two-theta, by intensity:
32.21 deg, d 2.779, intensity 1000; 33.93 deg, d 2.642, intensity 876; 31.55 deg, d 2.836, intensity 503; 61.43 deg, d 1.509, intensity 451; 51.24 deg, d 1.783, intensity 389; 29.13 deg, d 3.065, intensity 339; 55.46 deg, d 1.657, intensity 213; 29.77 deg, d 3.001, intensity 209

Structure:
a = 9.4310 Å, b = 9.4310 Å, c = 9.4491 Å
α = 115.29°, β = 115.29°, γ = 21.80°
Atoms (fractional coordinates):
Dy 0.0188 0.0188 0.3353
Dy 0.3145 0.3145 0.6662
Dy 0.6855 0.6855 0.3338
Dy 0.9812 0.9812 0.6647
Y 0.5000 0.5000 0.0000
Ho 0.3517 0.3517 0.3319
Ho 0.6483 0.6483 0.6681
Tm 0.1675 0.1675 0.0002
Tm 0.8325 0.8325 0.9998


6.
Starting from DFT lattice parameters and positions (PBE), the powder X-ray diffraction pattern of TbPm3Sc2 was calculated for Cu Kα (weighted mean of Kα1 and Kα2).
Neutral-atom scattering factors, no anomalous dispersion.

Most intense lines, 5 to 70 degrees two-theta, by intensity:
31.25 deg, d 2.863, intensity 1000; 36.13 deg, d 2.486, intensity 334; 61.94 deg, d 1.498, intensity 270; 52.26 deg, d 1.750, intensity 228; 36.45 deg, d 2.465, intensity 162; 20.01 deg, d 4.438, intensity 134; 62.37 deg, d 1.489, intensity 133; 52.02 deg, d 1.758, intensity 119

Structure:
a = 9.2797 Å, b = 9.2797 Å, c = 6.0570 Å
α = 90.45°, β = 90.45°, γ = 44.51°
Atoms (fractional coordinates):
Tb 0.1276 0.8724 0.7500
Tb 0.8724 0.1276 0.2500
Pm 0.0431 0.2955 0.9139
Pm 0.2955 0.0431 0.4139
Pm 0.3772 0.6228 0.2500
Pm 0.6228 0.3772 0.7500
Pm 0.7045 0.9569 0.5861
Pm 0.9569 0.7045 0.0861
Sc 0.2088 0.4555 0.5807
Sc 0.4555 0.2088 0.0807
Sc 0.5445 0.7912 0.9193
Sc 0.7912 0.5445 0.4193


7.
Starting from DFT lattice parameters and positions (PBE), the powder X-ray diffraction pattern of Sr2PaCu2P4 was calculated for Cu Kα (weighted mean of Kα1 and Kα2).
Neutral-atom scattering factors, no anomalous dispersion.

Most intense lines, 5 to 70 degrees two-theta, by intensity:
29.77 deg, d 3.001, intensity 1000; 35.52 deg, d 2.528, intensity 991; 13.22 deg, d 6.696, intensity 963; 33.89 deg, d 2.645, intensity 839; 23.35 deg, d 3.809, intensity 555; 35.36 deg, d 2.538, intensity 550; 26.62 deg, d 3.348, intensity 468; 24.72 deg, d 3.601, intensity 437

Structure:
a = 7.5758 Å, b = 7.5758 Å, c = 7.1427 Å
α = 109.62°, β = 109.62°, γ = 30.35°
Atoms (fractional coordinates):
Sr 0.1377 0.1377 0.0749
Sr 0.8623 0.8623 0.9251
Pa 0.0000 0.0000 0.5000
Cu 0.3191 0.3191 0.5168
Cu 0.6809 0.6809 0.4832
P 0.2018 0.2018 0.6844
P 0.4822 0.4822 0.7531
P 0.5178 0.5178 0.2469
P 0.7982 0.7982 0.3156


8.
Starting from DFT lattice parameters and positions (PBE), the powder X-ray diffraction pattern of HoTh2Co6 was calculated for Cu Kα (weighted mean of Kα1 and Kα2).
Neutral-atom scattering factors, no anomalous dispersion.

Most intense lines, 5 to 70 degrees two-theta, by intensity:
34.72 deg, d 2.584, intensity 1000; 46.19 deg, d 1.965, intensity 340; 26.18 deg, d 3.404, intensity 283; 67.03 deg, d 1.396, intensity 219; 59.06 deg, d 1.564, intensity 216; 45.73 deg, d 1.984, intensity 117; 53.45 deg, d 1.714, intensity 88; 53.87 deg, d 1.702, intensity 43

Structure:
a = 6.8075 Å, b = 6.8075 Å, c = 3.9682 Å
α = 90.00°, β = 90.00°, γ = 120.00°
Atoms (fractional coordinates):
Ho 0.0000 0.0000 0.0000
Th 0.3333 0.6667 0.0000
Th 0.6667 0.3333 0.0000
Co 0.0000 0.3327 0.5000
Co 0.0000 0.6673 0.5000
Co 0.3327 0.0000 0.5000
Co 0.3327 0.3327 0.5000
Co 0.6673 0.0000 0.5000
Co 0.6673 0.6673 0.5000